Computed powder XRD pattern
Compound: Mg6ZrMn
Radiation: copper Kα
Structure: a structure optimized by DFT (PBE)
No peak broadening, texture or thermal motion is included.

Crystal structure
```
data_Mg6ZrMn
_cell_length_a 4.994
_cell_length_b 6.141
_cell_length_c 11.185
_cell_angle_alpha 90.00
_cell_angle_beta 90.00
_cell_angle_gamma 90.00
_space_group_name_H-M_alt 'A m m 2'
_space_group_IT_number 38
loop_
_space_group_symop_operation_xyz
'x,y,z'
'-x,-y,z'
'-x,y,z'
'x,-y,z'
'x,y+1/2,z+1/2'
'-x,-y+1/2,z+1/2'
'-x,y+1/2,z+1/2'
'x,-y+1/2,z+1/2'
loop_
_atom_site_label
_atom_site_type_symbol
_atom_site_fract_x
_atom_site_fract_y
_atom_site_fract_z
_atom_site_occupancy
Mg1 Mg 0.000 0.000 0.000 1
Mg2 Mg 0.000 0.000 0.488 1
Mg3 Mg 0.000 0.248 0.254 1
Mg4 Mg 0.500 0.248 0.090 1
Zr1 Zr 0.500 0.000 0.843 1
Mn1 Mn 0.500 0.000 0.329 1
```

Peak list (10 most intense, 2θ = 10–90°, in order of falling intensity)
- (1 2 2), d = 2.369 Å, 37.98 deg, I = 100.0
- (1 0 4), d = 2.440 Å, 36.84 deg, I = 60.0
- (2 0 0), d = 2.497 Å, 35.97 deg, I = 39.4
- (0 2 2), d = 2.691 Å, 33.30 deg, I = 39.1
- (0 0 2), d = 5.592 Å, 15.85 deg, I = 35.4
- (1 0 0), d = 4.994 Å, 17.76 deg, I = 24.6
- (1 0 2), d = 3.725 Å, 23.89 deg, I = 21.3
- (2 2 2), d = 1.831 Å, 49.81 deg, I = 21.3
- (0 2 6), d = 1.594 Å, 57.86 deg, I = 19.2
- (2 2 6), d = 1.343 Å, 70.05 deg, I = 19.0


Computed powder XRD pattern
Compound: Ag2BiO3
Radiation: copper Kα
Structure: a structure optimized by DFT (PBE)
No peak broadening, texture or thermal motion is included.

Crystal structure
```
data_Ag2BiO3
_cell_length_a 6.160
_cell_length_b 6.350
_cell_length_c 9.768
_cell_angle_alpha 90.00
_cell_angle_beta 90.00
_cell_angle_gamma 90.00
_space_group_name_H-M_alt 'P n n 2'
_space_group_IT_number 34
loop_
_space_group_symop_operation_xyz
'x,y,z'
'-x,-y,z'
'-x+1/2,y+1/2,z+1/2'
'x+1/2,-y+1/2,z+1/2'
loop_
_atom_site_label
_atom_site_type_symbol
_atom_site_fract_x
_atom_site_fract_y
_atom_site_fract_z
_atom_site_occupancy
Ag1 Ag 0.029 0.248 0.000 1
Ag2 Ag 0.247 0.500 0.744 1
Bi1 Bi 0.000 0.000 0.645 1
Bi2 Bi 0.000 0.500 0.352 1
O1 O 0.109 0.777 0.493 1
O2 O 0.177 0.816 0.806 1
O3 O 0.195 0.681 0.181 1
```

Peak list (10 most intense, 2θ = 10–90°, in order of falling intensity)
- (0 2 2), d = 2.665 Å, 33.63 deg, I = 100.0
- (1 1 2), d = 3.278 Å, 27.21 deg, I = 58.4
- (1 2 1), d = 2.711 Å, 33.04 deg, I = 48.7
- (1 0 3), d = 2.879 Å, 31.07 deg, I = 42.5
- (2 2 4), d = 1.639 Å, 56.12 deg, I = 32.3
- (2 3 1), d = 1.717 Å, 53.35 deg, I = 20.9
- (0 1 3), d = 2.897 Å, 30.86 deg, I = 19.2
- (0 1 5), d = 1.867 Å, 48.77 deg, I = 16.5
- (2 0 2), d = 2.605 Å, 34.42 deg, I = 14.1
- (1 3 2), d = 1.852 Å, 49.19 deg, I = 13.6


Computed powder XRD pattern
Compound: YThN2
Radiation: copper Kα
Structure: a structure optimized by DFT (PBE)
No peak broadening, texture or thermal motion is included.

Crystal structure
```
data_YThN2
_cell_length_a 3.588
_cell_length_b 3.588
_cell_length_c 5.042
_cell_angle_alpha 90.00
_cell_angle_beta 90.00
_cell_angle_gamma 90.00
_space_group_name_H-M_alt 'P 4/m m m'
_space_group_IT_number 123
_space_group_name_Hall '-P 4 2'
loop_
_atom_site_label
_atom_site_type_symbol
_atom_site_fract_x
_atom_site_fract_y
_atom_site_fract_z
_atom_site_occupancy
Y1 Y 0.000 0.000 0.000 1
Th1 Th 0.500 0.500 0.500 1
N1 N 0.000 0.000 0.500 1
N2 N 0.500 0.500 0.000 1
```

Peak list (10 most intense, 2θ = 10–90°, in order of falling intensity)
- (1 0 1), d = 2.923 Å, 30.58 deg, I = 100.0
- (1 1 0), d = 2.537 Å, 35.38 deg, I = 48.6
- (1 1 2), d = 1.788 Å, 51.07 deg, I = 33.7
- (2 1 1), d = 1.529 Å, 60.55 deg, I = 30.8
- (0 0 2), d = 2.521 Å, 35.61 deg, I = 23.9
- (0 0 1), d = 5.042 Å, 17.59 deg, I = 19.0
- (1 0 0), d = 3.588 Å, 24.81 deg, I = 17.4
- (2 0 2), d = 1.462 Å, 63.66 deg, I = 17.2
- (2 0 0), d = 1.794 Å, 50.90 deg, I = 17.0
- (1 0 3), d = 1.522 Å, 60.86 deg, I = 15.2